Record 1
Diffraction record for Nd2SmNiPt8. The powder XRD pattern is simulated, not measured: it uses a DFT-relaxed cell (GGA-PBE, OQMD) and copper Kα.
Kinematic intensities with the Lorentz-polarization factor, no thermal factor.

Atomic structure:
a = 5.4441 Å, b = 5.4441 Å, c = 26.2649 Å
α = 90.00°, β = 90.00°, γ = 120.00°
Space group R-3m (No. 166, hexagonal axes)
Symmetry-distinct sites (fractional):
Nd  0.0000  0.0000  0.1402 [6 per cell]
Sm  0.0000  0.0000  0.0000 [3 per cell]
Ni  0.0000  0.0000  0.5000 [3 per cell]
Pt  0.0000  0.0000  0.3327 [6 per cell]
Pt  0.0007  0.5004  0.9130 [18 per cell]

Most intense lines, 2θ from 10° to 80°, sorted by position:
| d (Å) | intensity | index |
| --- | --- | --- |
| 2.936 | 18 | 1 0 7 |
| 2.348 | 46 | 0 2 1 |
| 2.312 | 100 | 1 1 6 |
| 2.219 | 28 | 0 2 4 |
| 2.189 | 28 | 0 0 12 |
| 2.151 | 50 | 2 0 5 |
| 2.130 | 18 | 0 1 11 |
| 1.479 | 25 | 0 3 6 |
| 1.473 | 17 | 1 1 15 |
| 1.361 | 30 | 2 2 0 |

---

Record 2
Diffraction record for Gd4BC2I3. The powder XRD pattern is simulated, not measured: it uses a DFT-relaxed cell (GGA-PBE, OQMD) and copper Kα.
Kinematic intensities with the Lorentz-polarization factor, no thermal factor.

Atomic structure:
a = 10.614 Å, b = 3.777 Å, c = 12.642 Å
α = 90.00°, β = 104.48°, γ = 90.00°
Space group P2_1/m (No. 11)
Symmetry-distinct sites (fractional):
Gd  0.047  0.250  0.195 [2 per cell]
Gd  0.114  0.750  0.459 [2 per cell]
Gd  0.189  0.250  0.728 [2 per cell]
Gd  0.224  0.750  0.001 [2 per cell]
B  0.028  0.250  0.976 [2 per cell]
C  0.039  0.750  0.632 [2 per cell]
C  0.108  0.250  0.888 [2 per cell]
I  0.289  0.750  0.262 [2 per cell]
I  0.352  0.250  0.550 [2 per cell]
I  0.427  0.750  0.857 [2 per cell]

Most intense lines, 2θ from 10° to 80°, sorted by position:
| d (Å) | intensity | index |
| --- | --- | --- |
| 3.214 | 44 | 0 1 2 |
| 3.060 | 25 | 0 0 4 |
| 2.977 | 79 | 2 0 -4 |
| 2.902 | 77 | 2 1 -2 |
| 2.865 | 52 | 2 0 3 |
| 2.856 | 100 | 2 1 1 |
| 2.651 | 54 | 4 0 -1 |
| 2.577 | 30 | 2 1 2 |
| 2.054 | 35 | 0 1 5 |
| 1.888 | 32 | 0 2 0 |

---

Record 3
Diffraction record for SrCd4. The powder XRD pattern is simulated, not measured: it uses a DFT-relaxed cell (GGA-PBE, OQMD) and copper Kα.
Kinematic intensities with the Lorentz-polarization factor, no thermal factor.

Atomic structure:
a = 10.4155 Å, b = 10.4155 Å, c = 8.4418 Å
α = 90.00°, β = 90.00°, γ = 120.00°
Space group P6_3/mmc (No. 194)
Symmetry-distinct sites (fractional):
Sr  0.0516  0.5258  0.2500 [6 per cell]
Cd  0.0000  0.0000  0.0000 [2 per cell]
Cd  0.1140  0.2280  0.2500 [6 per cell]
Cd  0.1743  0.3486  0.5680 [12 per cell]
Cd  0.3333  0.6667  0.5597 [4 per cell]

Most intense lines, 2θ from 10° to 80°, sorted by position:
| d (Å) | intensity | index |
| --- | --- | --- |
| 3.082 | 26 | 2 0 2 |
| 2.832 | 43 | 3 0 1 |
| 2.686 | 34 | 1 0 3 |
| 2.652 | 37 | 2 1 2 |
| 2.604 | 100 | 2 2 0 |
| 2.449 | 19 | 3 0 2 |
| 2.387 | 35 | 2 0 3 |
| 2.216 | 22 | 2 2 2 |
| 2.170 | 22 | 2 1 3 |
| 1.667 | 29 | 3 2 3 |

---

Record 4
Diffraction record for TmZn2SnIr4. The powder XRD pattern is simulated, not measured: it uses a DFT-relaxed cell (GGA-PBE, OQMD) and copper Kα.
Kinematic intensities with the Lorentz-polarization factor, no thermal factor.

Atomic structure:
a = 4.465 Å, b = 4.465 Å, c = 6.458 Å
α = 90.00°, β = 90.00°, γ = 90.00°
Space group P4/mmm (No. 123)
Symmetry-distinct sites (fractional):
Tm  0.000  0.000  0.000 [1 per cell]
Zn  0.000  0.000  0.500 [1 per cell]
Zn  0.500  0.500  0.000 [1 per cell]
Sn  0.500  0.500  0.500 [1 per cell]
Ir  0.000  0.500  0.263 [4 per cell]

Most intense lines, 2θ from 10° to 80°, sorted by position:
| d (Å) | intensity | index |
| --- | --- | --- |
| 3.672 | 6 | 1 0 1 |
| 3.229 | 5 | 0 0 2 |
| 3.157 | 9 | 1 1 0 |
| 2.257 | 100 | 1 1 2 |
| 2.232 | 49 | 2 0 0 |
| 1.836 | 4 | 2 0 2 |
| 1.614 | 8 | 0 0 4 |
| 1.578 | 17 | 2 2 0 |
| 1.308 | 17 | 2 0 4 |
| 1.294 | 34 | 3 1 2 |

---

Record 5
Diffraction record for CuS4. The powder XRD pattern is simulated, not measured: it uses a DFT-relaxed cell (GGA-PBE, OQMD) and copper Kα.
Kinematic intensities with the Lorentz-polarization factor, no thermal factor.

Atomic structure:
a = 5.062 Å, b = 3.152 Å, c = 5.713 Å
α = 90.00°, β = 90.93°, γ = 90.00°
Space group P2/m (No. 10)
Symmetry-distinct sites (fractional):
Cu  0.000  0.000  0.000 [1 per cell]
S  0.148  0.000  0.612 [2 per cell]
S  0.359  0.500  0.116 [2 per cell]

Most intense lines, 2θ from 10° to 80°, sorted by position:
| d (Å) | intensity | index |
| --- | --- | --- |
| 5.712 | 66 | 0 0 1 |
| 5.062 | 49 | 1 0 0 |
| 2.856 | 20 | 0 0 2 |
| 2.675 | 100 | 1 1 0 |
| 2.505 | 55 | 1 0 -2 |
| 2.415 | 62 | 1 1 1 |
| 2.300 | 34 | 2 0 1 |
| 1.633 | 33 | 2 1 -2 |
| 1.630 | 17 | 0 1 3 |
| 1.545 | 17 | 1 1 3 |

---

Record 6
Diffraction record for Sc3FeCN. The powder XRD pattern is simulated, not measured: it uses a DFT-relaxed cell (GGA-PBE, OQMD) and copper Kα.
Kinematic intensities with the Lorentz-polarization factor, no thermal factor.

Atomic structure:
a = 3.2034 Å, b = 3.2034 Å, c = 19.0717 Å
α = 90.00°, β = 90.00°, γ = 120.00°
Space group P-3m1 (No. 164)
Symmetry-distinct sites (fractional):
Sc  0.0000  0.0000  0.0000 [1 per cell]
Sc  0.0000  0.0000  0.5000 [1 per cell]
Sc  0.3333  0.6667  0.1337 [2 per cell]
Sc  0.3333  0.6667  0.3632 [2 per cell]
Fe  0.0000  0.0000  0.2444 [2 per cell]
C  0.3333  0.6667  0.5757 [2 per cell]
N  0.3333  0.6667  0.9305 [2 per cell]

Most intense lines, 2θ from 10° to 80°, sorted by position:
| d (Å) | intensity | index |
| --- | --- | --- |
| 2.745 | 16 | 0 1 1 |
| 2.398 | 100 | 1 0 4 |
| 2.384 | 18 | 0 0 8 |
| 2.244 | 26 | 1 0 5 |
| 1.808 | 9 | 1 0 8 |
| 1.684 | 11 | 0 1 9 |
| 1.602 | 26 | 1 1 0 |
| 1.379 | 11 | 0 1 12 |
| 1.332 | 13 | 2 0 4 |
| 1.330 | 15 | 1 1 8 |

---

Record 7
Diffraction record for FeAsSe. The powder XRD pattern is simulated, not measured: it uses a DFT-relaxed cell (GGA-PBE, OQMD) and copper Kα.
Kinematic intensities with the Lorentz-polarization factor, no thermal factor.

Atomic structure:
a = 5.944 Å, b = 5.854 Å, c = 6.005 Å
α = 90.00°, β = 113.87°, γ = 90.00°
Space group P2_1 (No. 4)
Symmetry-distinct sites (fractional):
Fe  0.223  0.000  0.461 [2 per cell]
Fe  0.228  0.499  0.959 [2 per cell]
As  0.151  0.145  0.080 [2 per cell]
As  0.353  0.639  0.374 [2 per cell]
Se  0.157  0.368  0.574 [2 per cell]
Se  0.350  0.872  0.879 [2 per cell]

Most intense lines, 2θ from 10° to 80°, sorted by position:
| d (Å) | intensity | index |
| --- | --- | --- |
| 2.746 | 28 | 0 0 2 |
| 2.718 | 33 | 2 0 0 |
| 2.527 | 100 | 1 2 -1 |
| 2.486 | 52 | 0 1 2 |
| 2.465 | 55 | 2 1 0 |
| 1.889 | 30 | 1 1 -3 |
| 1.871 | 36 | 3 1 -1 |
| 1.674 | 44 | 1 3 1 |
| 1.630 | 22 | 2 0 2 |
| 1.605 | 19 | 3 1 -3 |

---

Record 8
Diffraction record for Ba2TaCd. The powder XRD pattern is simulated, not measured: it uses a DFT-relaxed cell (GGA-PBE, OQMD) and copper Kα.
Kinematic intensities with the Lorentz-polarization factor, no thermal factor.

Atomic structure:
a = 7.982 Å, b = 7.982 Å, c = 7.982 Å
α = 90.00°, β = 90.00°, γ = 90.00°
Space group F-43m (No. 216)
Symmetry-distinct sites (fractional):
Ba  0.000  0.000  0.000 [4 per cell]
Ba  0.250  0.250  0.250 [4 per cell]
Ta  0.000  0.000  0.500 [4 per cell]
Cd  0.250  0.250  0.750 [4 per cell]

Most intense lines, 2θ from 10° to 80°, sorted by position:
| d (Å) | intensity | index |
| --- | --- | --- |
| 4.609 | 2 | 1 1 1 |
| 3.991 | 1 | 2 0 0 |
| 2.822 | 100 | 2 2 0 |
| 2.407 | 1 | 3 1 1 |
| 1.996 | 18 | 4 0 0 |
| 1.785 | 1 | 4 2 0 |
| 1.629 | 38 | 4 2 2 |
| 1.411 | 12 | 4 4 0 |
| 1.262 | 16 | 6 2 0 |